Structure and calculated X-ray diffraction stick pattern of Na3AlSi2SnSO12 (DFT lattice parameters and positions (PBE); λ = 1.5418 Å (Cu Kα)).
No peak broadening, texture or thermal motion is included.

Structural model:
```
data_Na3AlSi2SnSO12
_chemical_formula_sum 'Na6 Al2 Si4 Sn2 S2 O24'
_cell_length_a 8.8706
_cell_length_b 8.8706
_cell_length_c 8.9542
_cell_angle_alpha 119.32
_cell_angle_beta 119.32
_cell_angle_gamma 59.97
_space_group_name_H-M_alt 'P 1'
_space_group_IT_number 1
loop_
_space_group_symop_operation_xyz
'x,y,z'
loop_
_atom_site_label
_atom_site_type_symbol
_atom_site_fract_x
_atom_site_fract_y
_atom_site_fract_z
Na1 Na 0.0627 0.9373 0.5000
Na2 Na 0.1688 0.6911 0.7524
Na3 Na 0.2907 0.4344 0.0002
Na4 Na 0.4344 0.2907 0.5002
Na5 Na 0.6911 0.1688 0.2524
Na6 Na 0.9373 0.0627 0.0000
Al1 Al 0.0346 0.5444 0.3192
Al2 Al 0.5444 0.0346 0.8192
Si1 Si 0.1502 0.2411 0.5179
Si2 Si 0.2411 0.1502 0.0179
Si3 Si 0.7369 0.9321 0.5216
Si4 Si 0.9321 0.7369 0.0216
Sn1 Sn 0.3316 0.8537 0.2080
Sn2 Sn 0.8537 0.3316 0.7080
S1 S 0.4411 0.6498 0.5149
S2 S 0.6498 0.4411 0.0149
O1 O 0.0547 0.1572 0.8367
O2 O 0.1229 0.7466 0.0315
O3 O 0.1306 0.4168 0.4848
O4 O 0.1572 0.0547 0.3367
O5 O 0.1991 0.3353 0.1904
O6 O 0.2550 0.9585 0.0193
O7 O 0.2769 0.6311 0.5013
O8 O 0.3353 0.1991 0.6904
O9 O 0.4168 0.1306 0.9848
O10 O 0.4184 0.6608 0.3440
O11 O 0.4647 0.8166 0.6709
O12 O 0.4768 0.5973 0.0326
O13 O 0.5551 0.9186 0.3400
O14 O 0.5973 0.4768 0.5326
O15 O 0.6311 0.2769 0.0013
O16 O 0.6608 0.4184 0.8440
O17 O 0.6968 0.9723 0.6984
O18 O 0.7466 0.1229 0.5315
O19 O 0.7596 0.9246 0.9927
O20 O 0.8166 0.4647 0.1709
O21 O 0.9186 0.5551 0.8400
O22 O 0.9246 0.7596 0.4927
O23 O 0.9585 0.2550 0.5193
O24 O 0.9723 0.6968 0.1984
```

Main lines, low angle first (15° ≤ 2θ ≤ 90°):
d/Å	Position (°2θ)	intensity
4.501	19.72	71
4.476	19.83	61
4.435	20.02	96
3.806	23.37	60
3.627	24.54	37
3.150	28.33	45
2.848	31.42	70
2.837	31.53	74
2.828	31.64	65
2.561	35.04	100